Diffraction record for Mg3GeH2. The X-ray powder pattern is calculated, not measured: it uses a PBE-relaxed structure and Cu Kα X-rays.
Kinematic intensities with the Lorentz-polarization factor, no thermal factor.

Top 10 peaks for 5 to 70 degrees two-theta, low angle first:
| 2θ (°) | intensity |
| --- | --- |
| 9.03 | 67 |
| 18.15 | 60 |
| 29.07 | 68 |
| 32.38 | 47 |
| 32.54 | 63 |
| 33.19 | 77 |
| 36.73 | 60 |
| 39.56 | 42 |
| 43.03 | 100 |
| 44.53 | 35 |

Structural model:
abc: 5.915 3.235 9.823
angles: 90.00 94.46 90.00
Element x y z (fractional)
Mg1 0.049 0.250 0.346
Mg2 0.262 0.250 0.900
Mg3 0.389 0.250 0.615
Mg4 0.611 0.750 0.385
Mg5 0.738 0.750 0.100
Mg6 0.951 0.750 0.654
Ge1 0.277 0.750 0.160
Ge2 0.723 0.250 0.840
H1 0.143 0.750 0.002
H2 0.410 0.250 0.414
H3 0.590 0.750 0.586
H4 0.857 0.250 0.998


Diffraction record for Dy12ThSc2. The X-ray powder pattern is calculated, not measured: it uses a PBE-relaxed structure and Cu Kα X-rays.
Kinematic intensities with the Lorentz-polarization factor, no thermal factor.

Top 10 peaks for 5 to 70 degrees two-theta, low angle first:
| 2θ (°) | intensity |
| --- | --- |
| 31.30 | 100 |
| 31.92 | 93 |
| 35.11 | 62 |
| 37.31 | 35 |
| 51.38 | 14 |
| 52.16 | 40 |
| 61.37 | 31 |
| 61.78 | 28 |
| 63.55 | 14 |
| 65.20 | 14 |

Structural model:
abc: 3.557 4.821 27.627
angles: 90.00 93.69 90.00
Element x y z (fractional)
Dy1 0.033 0.000 0.065
Dy2 0.101 0.000 0.197
Dy3 0.163 0.000 0.321
Dy4 0.224 0.000 0.447
Dy5 0.308 0.500 0.618
Dy6 0.433 0.500 0.869
Dy7 0.567 0.500 0.131
Dy8 0.692 0.500 0.382
Dy9 0.776 0.000 0.553
Dy10 0.837 0.000 0.679
Dy11 0.899 0.000 0.803
Dy12 0.967 0.000 0.935
Th1 0.500 0.500 0.000
Sc1 0.368 0.500 0.742
Sc2 0.632 0.500 0.258


Diffraction record for RbLiAl2Br8. The X-ray powder pattern is calculated, not measured: it uses a PBE-relaxed structure and Cu Kα X-rays.
Kinematic intensities with the Lorentz-polarization factor, no thermal factor.

Top 10 peaks for 5 to 70 degrees two-theta, low angle first:
| 2θ (°) | intensity |
| --- | --- |
| 17.37 | 11 |
| 26.94 | 35 |
| 27.46 | 100 |
| 31.66 | 60 |
| 45.05 | 28 |
| 45.72 | 28 |
| 53.27 | 13 |
| 53.87 | 28 |
| 54.16 | 14 |
| 56.68 | 10 |

Structural model:
abc: 6.874 6.874 9.930
angles: 90.00 90.00 120.00
Element x y z (fractional)
Rb1 0.000 0.000 0.000
Li1 0.000 0.000 0.500
Al1 0.333 0.667 0.742
Al2 0.667 0.333 0.258
Br1 0.019 0.333 0.673
Br2 0.314 0.981 0.673
Br3 0.333 0.314 0.327
Br4 0.333 0.667 0.977
Br5 0.667 0.333 0.023
Br6 0.667 0.686 0.673
Br7 0.686 0.019 0.327
Br8 0.981 0.667 0.327


Diffraction record for Sr5InS6. The X-ray powder pattern is calculated, not measured: it uses a PBE-relaxed structure and Cu Kα X-rays.
Kinematic intensities with the Lorentz-polarization factor, no thermal factor.

Top 10 peaks for 5 to 70 degrees two-theta, low angle first:
| 2θ (°) | intensity |
| --- | --- |
| 14.49 | 1 |
| 25.61 | 41 |
| 29.66 | 100 |
| 42.44 | 72 |
| 50.22 | 21 |
| 52.62 | 25 |
| 61.57 | 11 |
| 67.78 | 4 |
| 67.82 | 4 |
| 69.81 | 32 |

Structural model:
abc: 7.377 7.377 7.378
angles: 99.57 99.57 119.98
Element x y z (fractional)
Sr1 0.000 0.000 0.000
Sr2 0.167 0.833 0.500
Sr3 0.335 0.665 0.000
Sr4 0.665 0.335 0.000
Sr5 0.833 0.167 0.500
In1 0.500 0.500 0.500
S1 0.088 0.417 0.251
S2 0.252 0.252 0.747
S3 0.417 0.088 0.251
S4 0.583 0.912 0.749
S5 0.748 0.748 0.253
S6 0.912 0.583 0.749